Ca2CoSi2O7: computed powder XRD pattern (Cu Kα), based on a DFT-relaxed cell (GGA+U, Alexandria).
Peak positions follow from Bragg's law for the DFT cell and can differ from measured ones.

Structural model:
```
Ca2CoSi2O7
1.0
7.9072 0.0000 0.0000
0.0000 7.9072 0.0000
0.0000 0.0000 5.0672
Ca Co Si O
4 2 4 14
direct
0.1706 0.3294 0.9999
0.3294 0.8294 0.0001
0.6706 0.1706 0.0001
0.8294 0.6706 0.9999
0.0000 0.0000 0.5000
0.5000 0.5000 0.5000
0.1408 0.6408 0.5682
0.3592 0.1408 0.4318
0.6408 0.8592 0.4318
0.8592 0.3592 0.5682
0.0000 0.5000 0.6847
0.0820 0.8141 0.7228
0.1432 0.6432 0.2500
0.1859 0.0820 0.2772
0.3141 0.5820 0.7228
0.3568 0.1432 0.7500
0.4180 0.3141 0.2772
0.5000 0.0000 0.3153
0.5820 0.6859 0.2772
0.6432 0.8568 0.7500
0.6859 0.4180 0.7228
0.8141 0.9180 0.2772
0.8568 0.3568 0.2500
0.9180 0.1859 0.7228
```

The 10 most intense peaks (2θ = 10–90°), in order of rising 2θ:
two_theta, Rel. int., hkl
23.70, 35, 1 1 1
28.64, 59, 2 0 1
30.83, 100, 2 1 1
32.01, 14, 2 2 0
35.91, 35, 3 1 0
43.96, 16, 2 1 2
48.49, 12, 2 2 2
50.91, 12, 4 1 1
51.34, 39, 3 1 2
51.70, 14, 4 2 0